Entry 1:
Diffraction record for Li2NpTiO6. The powder diffraction line list is theoretical, not measured: it uses a DFT-relaxed cell (PBE, Alexandria) and copper Kα.

Cell and atoms:
Cell: 5.279 5.502 9.332 Å, 90.00 124.45 90.00°
Space group P2_1/c (No. 14)
One atom of each set of equivalent atoms:
Li1 0.248 0.011 0.247
Np1 0.000 0.000 0.500
Ti1 0.500 0.000 0.000
O1 0.130 0.183 0.942
O2 0.262 0.695 0.938
O3 0.374 0.040 0.757

Peak list (8 most intense, 2θ from 10° to 90°, most intense first)
- 2θ 23.35, rel. 100, hkl 1 1 -1
- 2θ 33.09, rel. 68, hkl 1 1 1
- 2θ 19.84, rel. 56, hkl 0 1 1
- 2θ 20.40, rel. 53, hkl 1 0 0
- 2θ 23.12, rel. 52, hkl 0 0 2
- 2θ 38.72, rel. 36, hkl 1 2 -2
- 2θ 53.36, rel. 27, hkl 1 1 -5
- 2θ 39.64, rel. 23, hkl 2 1 -3



Entry 2:
Diffraction record for BaAcFeN2. The powder diffraction line list is theoretical, not measured: it uses a DFT-relaxed cell (PBE, Alexandria) and copper Kα.

Cell and atoms:
Cell: 5.843 5.589 7.386 Å, 90.00 90.15 90.00°
Space group P2/c (No. 13)
One atom of each set of equivalent atoms:
Ba1 0.000 0.002 0.250
Ac1 0.500 0.500 0.250
Fe1 0.500 0.000 0.000
N1 0.296 0.251 0.999

Peak list (8 most intense, 2θ from 10° to 90°, most intense first)
- 2θ 32.86, rel. 100, hkl 1 1 2
- 2θ 22.01, rel. 68, hkl 1 1 0
- 2θ 30.60, rel. 27, hkl 2 0 0
- 2θ 32.03, rel. 23, hkl 0 2 0
- 2θ 44.89, rel. 23, hkl 2 2 0
- 2θ 15.16, rel. 23, hkl 1 0 0
- 2θ 24.10, rel. 22, hkl 0 0 2
- 2θ 57.63, rel. 22, hkl 1 3 2



Entry 3:
Diffraction record for Ac3La4Pm4. The powder diffraction line list is theoretical, not measured: it uses a DFT-relaxed cell (PBE, Alexandria) and copper Kα.

Cell and atoms:
Cell: 3.739 5.960 19.126 Å, 98.92 95.58 90.01°
Space group P-1 (No. 2)
One atom of each set of equivalent atoms:
Ac1 0.000 0.000 0.000
Ac2 0.137 0.637 0.274
La1 0.266 0.266 0.532
La2 0.408 0.908 0.816
Pm1 0.317 0.817 0.635
Pm2 0.455 0.454 0.909

Peak list (8 most intense, 2θ from 10° to 90°, most intense first)
- 2θ 29.77, rel. 100, hkl 1 -1 2
- 2θ 30.14, rel. 99, hkl 0 1 5
- 2θ 29.99, rel. 52, hkl 0 2 -1
- 2θ 29.10, rel. 47, hkl 1 0 -4
- 2θ 58.31, rel. 39, hkl 2 2 -2
- 2θ 42.27, rel. 35, hkl -1 2 3
- 2θ 53.33, rel. 20, hkl 0 3 4
- 2θ 53.11, rel. 20, hkl 1 -3 3



Entry 4:
Diffraction record for Ag5Au. The powder diffraction line list is theoretical, not measured: it uses a DFT-relaxed cell (PBE, Alexandria) and copper Kα.

Cell and atoms:
Cell: 2.918 2.918 12.641 Å, 90.00 90.00 90.00°
Space group P4/mmm (No. 123)
One atom of each set of equivalent atoms:
Ag1 0.000 0.000 0.000
Ag2 0.000 0.000 0.333
Ag3 0.500 0.500 0.167
Au1 0.500 0.500 0.500

Peak list (8 most intense, 2θ from 10° to 90°, most intense first)
- 2θ 37.49, rel. 100, hkl 1 0 3
- 2θ 43.88, rel. 32, hkl 1 1 0
- 2θ 76.41, rel. 24, hkl 2 1 3
- 2θ 63.07, rel. 21, hkl 1 1 6
- 2θ 42.93, rel. 17, hkl 0 0 6
- 2θ 75.05, rel. 12, hkl 1 0 9
- 2θ 80.00, rel. 11, hkl 2 0 6
- 2θ 63.80, rel. 10, hkl 2 0 0



Entry 5:
Diffraction record for Sm7YEr5. The powder diffraction line list is theoretical, not measured: it uses a DFT-relaxed cell (PBE, Alexandria) and copper Kα.

Cell and atoms:
Cell: 6.698 11.282 11.597 Å, 90.00 90.00 90.00°
Space group Imm2 (No. 44)
One atom of each set of equivalent atoms:
Sm1 0.000 0.000 0.000
Sm2 0.000 0.000 0.308
Sm3 0.000 0.326 0.248
Sm4 0.000 0.328 0.752
Sm5 0.000 0.500 0.497
Y1 0.000 0.000 0.689
Er1 0.000 0.500 0.002
Er2 0.234 0.230 0.501

Peak list (8 most intense, 2θ from 10° to 90°, most intense first)
- 2θ 34.78, rel. 100, hkl 2 2 2
- 2θ 30.84, rel. 99, hkl 0 0 4
- 2θ 31.34, rel. 72, hkl 1 3 2
- 2θ 31.06, rel. 56, hkl 2 2 0
- 2θ 57.42, rel. 35, hkl 2 2 6
- 2θ 35.39, rel. 33, hkl 0 4 2
- 2θ 56.10, rel. 26, hkl 2 6 0
- 2θ 27.20, rel. 23, hkl 1 3 0



Entry 6:
Diffraction record for Pu4NpS10. The powder diffraction line list is theoretical, not measured: it uses a DFT-relaxed cell (PBE, Alexandria) and copper Kα.

Cell and atoms:
Cell: 10.184 10.184 6.451 Å, 90.00 90.00 90.00°
Space group I4/m (No. 87)
One atom of each set of equivalent atoms:
Pu1 0.099 0.301 0.000
Np1 0.000 0.000 0.500
S1 0.000 0.500 0.250
S2 0.100 0.802 0.252

Peak list (8 most intense, 2θ from 10° to 90°, most intense first)
- 2θ 23.92, rel. 100, hkl 2 1 1
- 2θ 39.55, rel. 68, hkl 4 2 0
- 2θ 46.75, rel. 52, hkl 5 0 1
- 2θ 27.68, rel. 26, hkl 1 3 0
- 2θ 71.75, rel. 24, hkl 7 1 2
- 2θ 62.86, rel. 22, hkl 6 3 1
- 2θ 57.17, rel. 12, hkl 2 6 0
- 2θ 64.69, rel. 11, hkl 7 1 0



Copy entry 1 word for word.
Diffraction record for Li2NpTiO6. The powder diffraction line list is theoretical, not measured: it uses a DFT-relaxed cell (PBE, Alexandria) and copper Kα.

Cell and atoms:
Cell: 5.279 5.502 9.332 Å, 90.00 124.45 90.00°
Space group P2_1/c (No. 14)
One atom of each set of equivalent atoms:
Li1 0.248 0.011 0.247
Np1 0.000 0.000 0.500
Ti1 0.500 0.000 0.000
O1 0.130 0.183 0.942
O2 0.262 0.695 0.938
O3 0.374 0.040 0.757

Peak list (8 most intense, 2θ from 10° to 90°, most intense first)
- 2θ 23.35, rel. 100, hkl 1 1 -1
- 2θ 33.09, rel. 68, hkl 1 1 1
- 2θ 19.84, rel. 56, hkl 0 1 1
- 2θ 20.40, rel. 53, hkl 1 0 0
- 2θ 23.12, rel. 52, hkl 0 0 2
- 2θ 38.72, rel. 36, hkl 1 2 -2
- 2θ 53.36, rel. 27, hkl 1 1 -5
- 2θ 39.64, rel. 23, hkl 2 1 -3